No. 1
Li4Fe3Sn3Te2O16: computed powder diffractogram (Cu Kα), based on a crystal structure in the Materials Project, relaxed with GGA+U.
Neutral-atom scattering factors, no anomalous dispersion.

Largest 10 diffraction maxima, by intensity, 10° ≤ 2θ ≤ 90°:
18.6°, rel. 100
33.7°, rel. 54
18.4°, rel. 47
17.5°, rel. 41
34.2°, rel. 41
31.3°, rel. 37
34.3°, rel. 33
24.1°, rel. 30
58.8°, rel. 30
33.4°, rel. 29

Cell lengths 6.2778, 6.2778, 10.1480 Å; angles 90.61, 90.61, 59.57 degrees
Sites, in units of the cell vectors:
1 Li 0.0000 0.0000 0.0000
2 Li 0.0017 0.0017 0.5062
3 Li 0.3381 0.3381 0.4168
4 Li 0.6764 0.6764 0.9084
5 Fe 0.1754 0.6684 0.7216
6 Fe 0.6684 0.1754 0.7216
7 Fe 0.8376 0.8376 0.2201
8 Sn 0.1732 0.1732 0.7249
9 Sn 0.3430 0.8343 0.2250
10 Sn 0.8343 0.3430 0.2250
11 Te 0.3528 0.3528 0.9921
12 Te 0.6824 0.6824 0.4991
13 O 0.0012 0.0012 0.8195
14 O 0.0062 0.0062 0.3260
15 O 0.0423 0.4955 0.8417
16 O 0.1563 0.1563 0.1143
17 O 0.1779 0.6858 0.1017
18 O 0.3128 0.8447 0.6155
19 O 0.3413 0.3413 0.6199
20 O 0.4867 0.4867 0.8534
21 O 0.4955 0.0423 0.8417
22 O 0.5170 0.5170 0.3432
23 O 0.5213 0.9622 0.3588
24 O 0.6672 0.6672 0.1153
25 O 0.6858 0.1779 0.1017
26 O 0.8447 0.3128 0.6155
27 O 0.8472 0.8472 0.6044
28 O 0.9622 0.5213 0.3588

***

No. 2
Li7Mn5O12: computed powder diffractogram (Cu Kα), based on a crystal structure in the Materials Project, relaxed with GGA+U.
Neutral-atom scattering factors, no anomalous dispersion.

Largest 10 diffraction maxima, by intensity, 10° ≤ 2θ ≤ 90°:
18.3°, rel. 100
41.1°, rel. 34
44.0°, rel. 28
44.2°, rel. 28
36.2°, rel. 23
34.2°, rel. 18
61.8°, rel. 16
61.8°, rel. 8
62.1°, rel. 8
64.7°, rel. 7

Cell lengths 5.9923, 8.2238, 10.1429 Å; angles 113.19, 103.32, 90.59 degrees
Sites, in units of the cell vectors:
1 Li 0.0000 0.0000 0.0000
2 Li 0.0000 0.0000 0.5000
3 Li 0.0000 0.5000 0.0000
4 Li 0.1527 0.1591 0.3232
5 Li 0.1725 0.1777 0.8483
6 Li 0.3274 0.3220 0.1517
7 Li 0.3466 0.3406 0.6768
8 Li 0.5000 0.0000 0.0000
9 Li 0.5000 0.5000 0.0000
10 Li 0.5000 0.5000 0.5000
11 Li 0.6534 0.6594 0.3232
12 Li 0.6726 0.6780 0.8483
13 Li 0.8275 0.8223 0.1517
14 Li 0.8473 0.8409 0.6768
15 Mn 0.0000 0.5000 0.5000
16 Mn 0.1653 0.6639 0.3301
17 Mn 0.1709 0.6729 0.8396
18 Mn 0.3296 0.8277 0.1608
19 Mn 0.3352 0.8372 0.6697
20 Mn 0.5000 0.0000 0.5000
21 Mn 0.6648 0.1628 0.3303
22 Mn 0.6704 0.1723 0.8392
23 Mn 0.8291 0.3271 0.1604
24 Mn 0.8347 0.3361 0.6699
25 O 0.0070 0.7535 0.9884
26 O 0.0318 0.7456 0.5072
27 O 0.1277 0.4181 0.8090
28 O 0.1688 0.8946 0.3225
29 O 0.1706 0.4383 0.3505
30 O 0.1723 0.9044 0.8191
31 O 0.3279 0.5959 0.1810
32 O 0.3295 0.0630 0.6504
33 O 0.3303 0.6056 0.6770
34 O 0.3717 0.0821 0.1908
35 O 0.4703 0.7557 0.4936
36 O 0.4925 0.7463 0.0113
37 O 0.5075 0.2537 0.9887
38 O 0.5297 0.2443 0.5064
39 O 0.6283 0.9179 0.8092
40 O 0.6697 0.3944 0.3230
41 O 0.6705 0.9370 0.3496
42 O 0.6721 0.4041 0.8190
43 O 0.8277 0.0956 0.1809
44 O 0.8294 0.5617 0.6495
45 O 0.8312 0.1054 0.6775
46 O 0.8723 0.5819 0.1910
47 O 0.9682 0.2544 0.4928
48 O 0.9930 0.2465 0.0116

***

No. 3
Li2Ti4NiP4O20: computed powder diffractogram (Cu Kα), based on a crystal structure in the Materials Project, relaxed with GGA+U.
Neutral-atom scattering factors, no anomalous dispersion.

Largest 10 diffraction maxima, by intensity, 10° ≤ 2θ ≤ 90°:
26.8°, rel. 100
27.6°, rel. 46
18.4°, rel. 33
27.1°, rel. 33
30.6°, rel. 20
30.1°, rel. 18
38.9°, rel. 17
57.1°, rel. 16
32.7°, rel. 15
32.5°, rel. 15

Cell lengths 6.4534, 7.3341, 7.4785 Å; angles 90.17, 90.12, 90.70 degrees
Sites, in units of the cell vectors:
1 Li 0.0000 0.0000 0.0000
2 Li 0.0000 0.5000 0.5000
3 Ti 0.2447 0.2854 0.8304
4 Ti 0.2612 0.2284 0.3400
5 Ti 0.7388 0.7716 0.6600
6 Ti 0.7553 0.7146 0.1696
7 Ni 0.5000 0.0000 0.0000
8 P 0.2461 0.6265 0.1243
9 P 0.2486 0.8754 0.6269
10 P 0.7514 0.1246 0.3731
11 P 0.7539 0.3735 0.8757
12 O 0.0545 0.7526 0.6365
13 O 0.0571 0.7545 0.1224
14 O 0.2320 0.3402 0.6095
15 O 0.2387 0.4990 0.2867
16 O 0.2461 0.9932 0.4573
17 O 0.2496 0.5172 0.9471
18 O 0.2565 0.0023 0.7991
19 O 0.2644 0.1467 0.1154
20 O 0.4419 0.7559 0.6292
21 O 0.4429 0.7522 0.1305
22 O 0.5571 0.2478 0.8695
23 O 0.5581 0.2441 0.3708
24 O 0.7356 0.8533 0.8846
25 O 0.7435 0.9977 0.2009
26 O 0.7504 0.4828 0.0529
27 O 0.7539 0.0068 0.5427
28 O 0.7613 0.5010 0.7133
29 O 0.7680 0.6598 0.3905
30 O 0.9429 0.2455 0.8776
31 O 0.9455 0.2474 0.3635

***

No. 4
Li3Fe3OF7: computed powder diffractogram (Cu Kα), based on a crystal structure in the Materials Project, relaxed with GGA+U.
Neutral-atom scattering factors, no anomalous dispersion.

Largest 10 diffraction maxima, by intensity, 10° ≤ 2θ ≤ 90°:
19.2°, rel. 100
38.0°, rel. 36
42.9°, rel. 21
34.7°, rel. 21
31.3°, rel. 21
49.1°, rel. 20
48.9°, rel. 18
61.9°, rel. 17
33.6°, rel. 17
31.4°, rel. 15

Cell lengths 5.1889, 3.1186, 10.2597 Å; angles 90.00, 90.23, 90.00 degrees
Sites, in units of the cell vectors:
1 Li 0.0000 0.0000 0.0000
2 Li 0.0869 0.0000 0.3137
3 Li 0.5289 0.5000 0.9095
4 Fe 0.4524 0.0000 0.4855
5 Fe 0.5096 0.5000 0.2209
6 Fe 0.9539 0.5000 0.7219
7 O 0.2930 0.5000 0.3811
8 F 0.1545 0.0000 0.6396
9 F 0.1715 0.5000 0.8936
10 F 0.2643 0.0000 0.1378
11 F 0.6521 0.5000 0.5885
12 F 0.7324 0.0000 0.8291
13 F 0.7350 0.0000 0.3154
14 F 0.7437 0.5000 0.0617